(1)
This entry pairs a crystal structure of K5Ge2O5 with its theoretical powder XRD pattern. Radiation: Cu Kα, 1.54184 Å. Structure: the PBE geometry in Alexandria.
No peak broadening, texture or thermal motion is included.

Largest 10 diffraction maxima, in order of rising 2θ, 2θ from 15° to 90°:
two_theta  I_rel  index
15.3  37  2 0 0
29.1  37  1 1 -2
29.5  33  4 0 -1
32.0  38  1 1 2
32.1  44  3 1 -1
32.8  32  3 1 0
34.1  55  3 1 -2
35.8  100  2 0 -4
46.8  34  0 2 0
60.3  39  2 2 -4

Cell and atoms:
```
data_K5Ge2O5
_cell_length_a 12.0974
_cell_length_b 3.8819
_cell_length_c 10.1107
_cell_angle_alpha 90.00
_cell_angle_beta 107.30
_cell_angle_gamma 90.00
_space_group_name_H-M_alt 'C 1 2/m 1'
_space_group_IT_number 12
loop_
_space_group_symop_operation_xyz
'x,y,z'
'-x,-y,-z'
'-x,y,-z'
'x,-y,z'
'x+1/2,y+1/2,z'
'-x+1/2,-y+1/2,-z'
'-x+1/2,y+1/2,-z'
'x+1/2,-y+1/2,z'
loop_
_atom_site_label
_atom_site_type_symbol
_atom_site_fract_x
_atom_site_fract_y
_atom_site_fract_z
K1 K 0.0000 0.0000 0.0000
K2 K 0.1512 0.0000 0.5511
K3 K 0.2459 0.5000 0.1357
Ge1 Ge 0.0343 0.5000 0.2912
O1 O 0.0000 0.5000 0.5000
O2 O 0.0991 0.5000 0.8556
O3 O 0.1100 0.0000 0.2718
```


(2)
This entry pairs a crystal structure of KGe2P3O12 with its theoretical powder XRD pattern. Radiation: Cu Kα, 1.54184 Å. Structure: the PBE geometry in Alexandria.
No peak broadening, texture or thermal motion is included.

Largest 10 diffraction maxima, in order of rising 2θ, 2θ from 15° to 90°:
two_theta  I_rel  index
20.0  32  1 0 4
21.9  79  1 1 0
24.8  68  2 -1 3
29.8  33  0 2 4
32.2  100  1 1 6
38.3  25  3 0 0
45.4  16  0 3 6
50.9  30  2 2 6
60.2  18  1 4 0
65.5  20  4 1 6

Cell and atoms:
```
data_KGe2P3O12
_cell_length_a 8.1338
_cell_length_b 8.1338
_cell_length_c 22.8660
_cell_angle_alpha 90.00
_cell_angle_beta 90.00
_cell_angle_gamma 120.00
_space_group_name_H-M_alt 'R -3'
_space_group_IT_number 148
_space_group_name_Hall '-R 3'
loop_
_atom_site_label
_atom_site_type_symbol
_atom_site_fract_x
_atom_site_fract_y
_atom_site_fract_z
K1 K 0.0000 0.0000 0.0000
K2 K 0.0000 0.0000 0.5000
Ge1 Ge 0.0000 0.0000 0.1481
Ge2 Ge 0.0000 0.0000 0.3472
P1 P 0.0011 0.7169 0.2505
O1 O 0.0154 0.1890 0.0950
O2 O 0.0399 0.8300 0.1932
O3 O 0.0727 0.2111 0.3985
O4 O 0.0850 0.2211 0.6994
```


(3)
This entry pairs a crystal structure of K4PaGe3O12 with its theoretical powder XRD pattern. Radiation: Cu Kα, 1.54184 Å. Structure: the PBE geometry in Alexandria.
No peak broadening, texture or thermal motion is included.

Largest 10 diffraction maxima, in order of rising 2θ, 2θ from 15° to 90°:
two_theta  I_rel  index
15.6  33  1 1 0
22.2  50  2 0 0
27.2  19  2 1 1
31.6  100  2 2 0
42.2  15  3 2 1
45.2  38  4 0 0
50.9  22  4 2 0
56.2  38  4 2 2
65.9  22  4 4 0
74.9  17  6 2 0

Cell and atoms:
```
data_K4PaGe3O12
_cell_length_a 8.0198
_cell_length_b 8.0198
_cell_length_c 8.0198
_cell_angle_alpha 90.00
_cell_angle_beta 90.00
_cell_angle_gamma 90.00
_space_group_name_H-M_alt 'I m -3 m'
_space_group_IT_number 229
_space_group_name_Hall '-I 4 2 3'
loop_
_atom_site_label
_atom_site_type_symbol
_atom_site_fract_x
_atom_site_fract_y
_atom_site_fract_z
K1 K 0.2500 0.2500 0.2500
Pa1 Pa 0.0000 0.0000 0.0000
Ge1 Ge 0.0000 0.0000 0.5000
O1 O 0.0000 0.0000 0.2690
O2 O 0.0000 0.2500 0.5000
```


(4)
This entry pairs a crystal structure of K2Pm2GeO6 with its theoretical powder XRD pattern. Radiation: Cu Kα, 1.54184 Å. Structure: the PBE geometry in Alexandria.
No peak broadening, texture or thermal motion is included.

Largest 10 diffraction maxima, in order of rising 2θ, 2θ from 15° to 90°:
two_theta  I_rel  index
27.9  53  0 0 2
30.8  58  2 0 -1
31.2  34  2 0 0
32.1  60  1 3 -1
35.5  100  1 3 1
36.5  45  2 0 -2
44.6  26  1 3 2
49.7  29  1 3 -3
53.8  27  3 3 -1
56.6  28  1 3 3

Cell and atoms:
```
data_K2Pm2GeO6
_cell_length_a 5.9257
_cell_length_b 10.1277
_cell_length_c 6.6104
_cell_angle_alpha 90.00
_cell_angle_beta 104.36
_cell_angle_gamma 90.00
_space_group_name_H-M_alt 'C 1 2/m 1'
_space_group_IT_number 12
loop_
_space_group_symop_operation_xyz
'x,y,z'
'-x,-y,-z'
'-x,y,-z'
'x,-y,z'
'x+1/2,y+1/2,z'
'-x+1/2,-y+1/2,-z'
'-x+1/2,y+1/2,-z'
'x+1/2,-y+1/2,z'
loop_
_atom_site_label
_atom_site_type_symbol
_atom_site_fract_x
_atom_site_fract_y
_atom_site_fract_z
K1 K 0.0000 0.1564 0.0000
Pm1 Pm 0.0000 0.3348 0.5000
Ge1 Ge 0.0000 0.0000 0.5000
O1 O 0.1901 0.1471 0.6683
O2 O 0.2270 0.0000 0.3309
```


(5)
This entry pairs a crystal structure of K3PuGe2O8 with its theoretical powder XRD pattern. Radiation: Cu Kα, 1.54184 Å. Structure: the PBE geometry in Alexandria.
No peak broadening, texture or thermal motion is included.

Largest 10 diffraction maxima, in order of rising 2θ, 2θ from 15° to 90°:
two_theta  I_rel  index
17.4  29  1 0 0
20.8  85  1 0 1
28.8  100  0 1 2
30.3  86  1 1 0
42.3  44  2 0 2
48.6  19  2 1 1
50.1  18  2 0 3
52.9  36  1 2 2
56.6  28  1 1 4
70.7  19  3 1 2

Cell and atoms:
```
data_K3PuGe2O8
_cell_length_a 5.9013
_cell_length_b 5.9013
_cell_length_c 7.7993
_cell_angle_alpha 90.00
_cell_angle_beta 90.00
_cell_angle_gamma 120.00
_space_group_name_H-M_alt 'P -3 m 1'
_space_group_IT_number 164
_space_group_name_Hall '-P 3 2"'
loop_
_atom_site_label
_atom_site_type_symbol
_atom_site_fract_x
_atom_site_fract_y
_atom_site_fract_z
K1 K 0.0000 0.0000 0.0000
K2 K 0.3333 0.6667 0.7091
Pu1 Pu 0.0000 0.0000 0.5000
Ge1 Ge 0.3333 0.6667 0.2473
O1 O 0.1707 0.3414 0.3396
O2 O 0.3333 0.6667 0.0304
```


(6)
This entry pairs a crystal structure of KReGe2O8 with its theoretical powder XRD pattern. Radiation: Cu Kα, 1.54184 Å. Structure: the PBE geometry in Alexandria.
No peak broadening, texture or thermal motion is included.

Largest 10 diffraction maxima, in order of rising 2θ, 2θ from 15° to 90°:
two_theta  I_rel  index
21.0  100  1 1 -1
22.6  77  2 0 0
25.1  16  1 1 1
29.6  61  1 1 -2
30.8  37  0 2 0
35.6  37  1 1 2
36.1  19  3 1 -1
38.5  16  2 2 0
50.7  16  2 2 -3
53.0  19  3 1 2

Cell and atoms:
```
data_KReGe2O8
_cell_length_a 8.2792
_cell_length_b 5.8130
_cell_length_c 7.1221
_cell_angle_alpha 90.00
_cell_angle_beta 108.43
_cell_angle_gamma 90.00
_space_group_name_H-M_alt 'C 1 2/m 1'
_space_group_IT_number 12
loop_
_space_group_symop_operation_xyz
'x,y,z'
'-x,-y,-z'
'-x,y,-z'
'x,-y,z'
'x+1/2,y+1/2,z'
'-x+1/2,-y+1/2,-z'
'-x+1/2,y+1/2,-z'
'x+1/2,-y+1/2,z'
loop_
_atom_site_label
_atom_site_type_symbol
_atom_site_fract_x
_atom_site_fract_y
_atom_site_fract_z
K1 K 0.0000 0.0000 0.0000
Re1 Re 0.0000 0.0000 0.5000
Ge1 Ge 0.0525 0.5000 0.2082
O1 O 0.0035 0.2327 0.6895
O2 O 0.1516 0.5000 0.0136
O3 O 0.2359 0.0000 0.5852
```


(7)
This entry pairs a crystal structure of KGeS2O8 with its theoretical powder XRD pattern. Radiation: Cu Kα, 1.54184 Å. Structure: the PBE geometry in Alexandria.
No peak broadening, texture or thermal motion is included.

Largest 10 diffraction maxima, in order of rising 2θ, 2θ from 15° to 90°:
two_theta  I_rel  index
26.5  88  1 1 1
26.9  43  2 0 -2
33.1  100  0 2 0
35.9  16  3 1 0
42.6  21  1 1 -3
43.6  19  3 1 1
43.9  18  0 2 2
44.3  17  3 1 -3
59.2  16  3 3 -1
69.6  23  0 4 0

Cell and atoms:
```
data_KGeS2O8
_cell_length_a 9.3664
_cell_length_b 5.4055
_cell_length_c 7.0498
_cell_angle_alpha 90.00
_cell_angle_beta 115.28
_cell_angle_gamma 90.00
_space_group_name_H-M_alt 'C 1 2/m 1'
_space_group_IT_number 12
loop_
_space_group_symop_operation_xyz
'x,y,z'
'-x,-y,-z'
'-x,y,-z'
'x,-y,z'
'x+1/2,y+1/2,z'
'-x+1/2,-y+1/2,-z'
'-x+1/2,y+1/2,-z'
'x+1/2,-y+1/2,z'
loop_
_atom_site_label
_atom_site_type_symbol
_atom_site_fract_x
_atom_site_fract_y
_atom_site_fract_z
K1 K 0.0000 0.0000 0.0000
Ge1 Ge 0.0000 0.5000 0.5000
S1 S 0.2117 0.0000 0.6398
O1 O 0.1097 0.5000 0.2745
O2 O 0.1394 0.0000 0.4137
O3 O 0.1631 0.2268 0.7249
```


(8)
This entry pairs a crystal structure of K2GeS6O21 with its theoretical powder XRD pattern. Radiation: Cu Kα, 1.54184 Å. Structure: the PBE geometry in Alexandria.
No peak broadening, texture or thermal motion is included.

Largest 10 diffraction maxima, in order of rising 2θ, 2θ from 15° to 90°:
two_theta  I_rel  index
15.9  41  0 0 2
19.0  51  0 1 2
19.8  44  2 -1 1
24.1  15  2 -1 2
26.4  100  0 2 2
27.8  24  1 2 0
31.6  16  3 0 0
32.2  34  3 -1 2
41.6  16  1 3 2
42.9  16  3 -2 4

Cell and atoms:
```
data_K2GeS6O21
_cell_length_a 9.8078
_cell_length_b 9.8078
_cell_length_c 11.1745
_cell_angle_alpha 90.00
_cell_angle_beta 90.00
_cell_angle_gamma 120.00
_space_group_name_H-M_alt 'P -3'
_space_group_IT_number 147
loop_
_space_group_symop_operation_xyz
'x,y,z'
'-x,-y,-z'
'-y,x-y,z'
'y,-x+y,-z'
'-x+y,-x,z'
'x-y,x,-z'
loop_
_atom_site_label
_atom_site_type_symbol
_atom_site_fract_x
_atom_site_fract_y
_atom_site_fract_z
K1 K 0.3333 0.6667 0.0563
K2 K 0.3333 0.6667 0.6246
Ge1 Ge 0.0000 0.0000 0.2575
S1 S 0.0660 0.3331 0.8376
S2 S 0.1683 0.8205 0.3462
O1 O 0.0001 0.3317 0.7005
O2 O 0.0332 0.6495 0.0770
O3 O 0.0489 0.1707 0.8498
O4 O 0.0511 0.1747 0.3603
O5 O 0.1427 0.4270 0.2549
O6 O 0.1881 0.7712 0.4622
O7 O 0.2274 0.4559 0.8281
```